(1)
The following is a calculated X-ray diffraction stick pattern of DyScAg2. It was derived from a DFT-relaxed cell (GGA-PBE, Alexandria), using copper Kα.

The 12 most intense peaks (10 to 80 degrees two-theta), most intense first:
d/Å  intensity
2.500  100
2.510  51
1.447  34
5.020  20
1.775  17
1.441  17
2.883  10
1.250  10
1.761  8
1.893  7
2.245  5
1.255  5

a = 5.0203 Å, b = 5.0203 Å, c = 3.5211 Å
α = 90.00°, β = 90.00°, γ = 90.00°
Space group P4/mmm (No. 123)
Asymmetric unit:
Dy 0.0000 0.0000 0.0000 x1
Sc 0.5000 0.5000 0.0000 x1
Ag 0.0000 0.5000 0.5000 x2


(2)
The following is a calculated X-ray diffraction stick pattern of Rb4NdNp3Se8. It was derived from a DFT-relaxed cell (GGA-PBE, Alexandria), using copper Kα.

The 12 most intense peaks (10 to 80 degrees two-theta), most intense first:
d/Å  intensity
3.177  100
7.990  43
2.163  37
2.340  35
1.788  19
1.378  16
2.528  15
3.576  13
1.468  12
1.588  11
1.280  10
2.088  10

a = 8.6531 Å, b = 8.6531 Å, c = 23.9698 Å
α = 90.00°, β = 90.00°, γ = 120.00°
Space group R-3m (No. 166, hexagonal axes)
Asymmetric unit:
Rb 0.0000 0.0000 0.0000 x3
Rb 0.0000 0.5000 0.0000 x9
Nd 0.0000 0.0000 0.5000 x3
Np 0.0000 0.5000 0.5000 x9
Se 0.0000 0.0000 0.2310 x6
Se 0.0045 0.5023 0.7673 x18


(3)
The following is a calculated X-ray diffraction stick pattern of Ti8H4C3N. It was derived from a DFT-relaxed cell (GGA-PBE, Alexandria), using copper Kα.

The 12 most intense peaks (10 to 80 degrees two-theta), most intense first:
d/Å  intensity
2.126  100
2.512  100
2.187  53
2.483  49
2.409  42
1.543  31
1.507  26
4.818  21
1.534  16
1.256  14
1.474  13
1.305  11

a = 10.3954 Å, b = 6.1370 Å, c = 5.9004 Å
α = 90.00°, β = 122.70°, γ = 90.00°
Space group C2/m (No. 12)
Asymmetric unit:
Ti 0.0089 0.2482 0.2492 x8
Ti 0.2392 0.0000 0.2470 x4
Ti 0.2408 0.5000 0.2485 x4
H 0.0000 0.0000 0.5000 x2
H 0.0000 0.5000 0.5000 x2
H 0.2500 0.2500 0.0000 x4
C 0.0000 0.5000 0.0000 x2
C 0.2500 0.2500 0.5000 x4
N 0.0000 0.0000 0.0000 x2